For Na3SbP2O9, a PBE-relaxed structure gives the simulated PXRD pattern in this record (Cu Ka).
Neutral-atom scattering factors, no anomalous dispersion.

Atomic structure:
```
data_Na3SbP2O9
_cell_length_a 7.081
_cell_length_b 9.416
_cell_length_c 12.574
_cell_angle_alpha 90.00
_cell_angle_beta 90.00
_cell_angle_gamma 90.00
_symmetry_space_group_name_H-M 'P 21 21 21'
_symmetry_Int_Tables_number 19
loop_
_symmetry_equiv_pos_as_xyz
'x,y,z'
'-x+1/2,-y,z+1/2'
'x+1/2,-y+1/2,-z'
'-x,y+1/2,-z+1/2'
loop_
_atom_site_label
_atom_site_fract_x
_atom_site_fract_y
_atom_site_fract_z
Na1 0.124 0.106 0.159
Na2 0.175 0.257 0.760
Na3 0.245 0.586 0.516
Sb1 0.021 0.747 0.005
P1 0.229 0.375 0.299
P2 0.238 0.970 0.422
O1 0.048 0.290 0.344
O2 0.050 0.042 0.470
O3 0.088 0.695 0.854
O4 0.092 0.954 0.986
O5 0.211 0.531 0.331
O6 0.225 0.305 0.557
O7 0.241 0.817 0.460
O8 0.245 0.010 0.803
O9 0.245 0.337 0.183
```

Largest 6 diffraction maxima, in order of rising 2θ, 2θ from 10° to 90°:
d/Å  two_theta  I (rel.)  index
7.537  11.74  100  0 1 1
6.287  14.09  32  0 0 2
4.705  18.86  18  0 2 0
3.204  27.84  43  2 1 1
3.085  28.94  14  2 0 2
3.045  29.33  20  0 3 1